# LaTb2Cr2C4
Simulated X-ray powder pattern, Cu Kα (λ = 1.5418 Å). Input: the GGA-PBE geometry in Alexandria.
Neutral-atom scattering factors, no anomalous dispersion.

Crystal structure
```
data_LaTb2Cr2C4
_chemical_formula_sum 'La2 Tb4 Cr4 C8'
_symmetry_space_group_name_H-M 'C 1 2/m 1'
_symmetry_Int_Tables_number 12
_cell_length_a 13.6255
_cell_length_b 3.4466
_cell_length_c 6.3285
_cell_angle_alpha 90.00
_cell_angle_beta 115.66
_cell_angle_gamma 90.00
loop_
_symmetry_equiv_pos_as_xyz
'x,y,z'
'-x,-y,-z'
'-x,y,-z'
'x,-y,z'
'x+1/2,y+1/2,z'
'-x+1/2,-y+1/2,-z'
'-x+1/2,y+1/2,-z'
'x+1/2,-y+1/2,z'
loop_
_atom_site_label
_atom_site_type_symbol
_atom_site_fract_x
_atom_site_fract_y
_atom_site_fract_z
_atom_site_occupancy
La1 La 0.0000 0.0000 0.0000 1
Tb1 Tb 0.1318 0.0000 0.5536 1
Cr1 Cr 0.1784 0.5000 0.9783 1
C1 C 0.0386 0.5000 0.7279 1
C2 C 0.2194 0.0000 0.1641 1
```

The 10 most intense peaks (2θ from 10° to 90°), by angle:
- (4 0 -1), d = 3.383 Å, 2θ = 26.34°, I 93.7
- (1 1 0), d = 3.318 Å, 2θ = 26.87°, I 85.0
- (0 0 2), d = 2.852 Å, 2θ = 31.36°, I 73.9
- (3 1 -1), d = 2.697 Å, 2θ = 33.22°, I 100.0
- (4 0 1), d = 2.317 Å, 2θ = 38.87°, I 33.2
- (1 1 -2), d = 2.300 Å, 2θ = 39.17°, I 83.3
- (3 1 1), d = 2.174 Å, 2θ = 41.55°, I 95.9
- (5 1 -1), d = 2.138 Å, 2θ = 42.28°, I 34.6
- (0 2 0), d = 1.723 Å, 2θ = 53.15°, I 27.8
- (3 1 3), d = 1.371 Å, 2θ = 68.41°, I 27.5